# 1
Theoretical XRD peak list of Pm2NiPd for Cu Kα, from the PBE geometry in the Materials Project.

Peak list (9 most intense, 2θ = 10–80°, by intensity)
35.8°, d = 2.510 Å, intensity 1000; 64.3°, d = 1.449 Å, intensity 354; 51.5°, d = 1.775 Å, intensity 175; 75.8°, d = 1.255 Å, intensity 109; 25.1°, d = 3.550 Å, intensity 81; 58.1°, d = 1.587 Å, intensity 35; 44.2°, d = 2.049 Å, intensity 25; 21.7°, d = 4.099 Å, intensity 21; 42.2°, d = 2.141 Å, intensity 11

```
data_Pm2NiPd
_space_group_name_H-M_alt 'F m -3 m'
_space_group_IT_number 225
_space_group_name_Hall '-F 4 2 3'
_cell_length_a 7.099
_cell_length_b 7.099
_cell_length_c 7.099
_cell_angle_alpha 90.00
_cell_angle_beta 90.00
_cell_angle_gamma 90.00
loop_
_atom_site_label
_atom_site_fract_x
_atom_site_fract_y
_atom_site_fract_z
_atom_site_occupancy
Pm1 0.250 0.250 0.250 1
Ni1 0.000 0.000 0.000 1
Pd1 0.000 0.000 0.500 1
```

---

# 2
Theoretical XRD peak list of Sr2TlI5 for Cu Kα, from the PBE geometry in the Materials Project.

Peak list (10 most intense, 2θ = 10–80°, by intensity)
29.2°, d = 3.059 Å, intensity 1000; 27.5°, d = 3.242 Å, intensity 670; 27.1°, d = 3.291 Å, intensity 550; 26.7°, d = 3.345 Å, intensity 497; 23.7°, d = 3.755 Å, intensity 487; 30.0°, d = 2.980 Å, intensity 447; 30.6°, d = 2.922 Å, intensity 445; 35.7°, d = 2.513 Å, intensity 380; 37.4°, d = 2.407 Å, intensity 330; 27.0°, d = 3.306 Å, intensity 252

```
data_Sr2TlI5
_space_group_name_H-M_alt 'P 1 21/c 1'
_space_group_IT_number 14
_space_group_name_Hall '-P 2ybc'
_cell_length_a 10.053
_cell_length_b 9.140
_cell_length_c 14.369
_cell_angle_alpha 90.00
_cell_angle_beta 90.04
_cell_angle_gamma 90.00
loop_
_atom_site_label
_atom_site_fract_x
_atom_site_fract_y
_atom_site_fract_z
_atom_site_occupancy
Sr1 0.002 0.023 0.181 1
Sr2 0.249 0.080 0.493 1
Tl1 0.489 0.013 0.180 1
I1 0.045 0.663 0.095 1
I2 0.221 0.041 0.997 1
I3 0.223 0.663 0.815 1
I4 0.231 0.194 0.718 1
I5 0.460 0.665 0.090 1
```

---

# 3
Theoretical XRD peak list of Cr2AgTe4 for Cu Kα, from the PBE geometry in the Materials Project.

Peak list (10 most intense, 2θ = 10–80°, by intensity)
44.5°, d = 2.036 Å, intensity 1000; 26.8°, d = 3.326 Å, intensity 813; 31.1°, d = 2.880 Å, intensity 672; 40.7°, d = 2.217 Å, intensity 427; 52.7°, d = 1.737 Å, intensity 289; 25.6°, d = 3.473 Å, intensity 265; 21.8°, d = 4.073 Å, intensity 240; 33.9°, d = 2.643 Å, intensity 145; 55.2°, d = 1.663 Å, intensity 136; 64.7°, d = 1.440 Å, intensity 134

abc: 11.520 11.520 11.520
angles: 90.00 90.00 90.00
Space group Fd-3m (No. 227, origin choice 2)
Asymmetric unit:
Cr  0.000  0.000  0.000 (multiplicity 16)
Ag  0.125  0.125  0.625 (multiplicity 8)
Te  0.013  0.013  0.237 (multiplicity 32)

---

# 4
Theoretical XRD peak list of CeFe9Si4 for Cu Kα, from the PBE geometry in the Materials Project.

Peak list (10 most intense, 2θ = 10–80°, by intensity)
39.8°, d = 2.266 Å, intensity 1000; 47.2°, d = 1.924 Å, intensity 392; 48.3°, d = 1.884 Å, intensity 386; 38.8°, d = 2.319 Å, intensity 267; 36.1°, d = 2.486 Å, intensity 238; 35.1°, d = 2.556 Å, intensity 234; 48.8°, d = 1.865 Å, intensity 228; 36.5°, d = 2.464 Å, intensity 166; 31.0°, d = 2.885 Å, intensity 154; 57.0°, d = 1.614 Å, intensity 144

```
data_CeFe9Si4
_space_group_name_H-M_alt 'I 4/m c m'
_space_group_IT_number 140
_space_group_name_Hall '-I 4 2c'
_cell_length_a 7.792
_cell_length_b 7.792
_cell_length_c 11.542
_cell_angle_alpha 90.00
_cell_angle_beta 90.00
_cell_angle_gamma 90.00
loop_
_atom_site_label
_atom_site_fract_x
_atom_site_fract_y
_atom_site_fract_z
_atom_site_occupancy
Ce1 0.000 0.000 0.250 1
Fe1 0.000 0.500 0.000 1
Fe2 0.067 0.201 0.000 1
Fe3 0.124 0.376 0.179 1
Si1 0.171 0.329 0.379 1
```

---

# 5
Theoretical XRD peak list of Cs2CuSbCl6 for Cu Kα, from the PBE geometry in the Materials Project.

Peak list (10 most intense, 2θ = 10–80°, by intensity)
23.9°, d = 3.716 Å, intensity 1000; 34.1°, d = 2.627 Å, intensity 624; 42.1°, d = 2.145 Å, intensity 453; 49.0°, d = 1.858 Å, intensity 419; 66.6°, d = 1.404 Å, intensity 236; 29.4°, d = 3.034 Å, intensity 234; 55.3°, d = 1.662 Å, intensity 207; 61.1°, d = 1.517 Å, intensity 140; 77.0°, d = 1.239 Å, intensity 116; 58.2°, d = 1.584 Å, intensity 83

```
data_Cs2CuSbCl6
_space_group_name_H-M_alt 'F m -3 m'
_space_group_IT_number 225
_space_group_name_Hall '-F 4 2 3'
_cell_length_a 10.510
_cell_length_b 10.510
_cell_length_c 10.510
_cell_angle_alpha 90.00
_cell_angle_beta 90.00
_cell_angle_gamma 90.00
loop_
_atom_site_label
_atom_site_fract_x
_atom_site_fract_y
_atom_site_fract_z
_atom_site_occupancy
Cs1 0.250 0.250 0.250 1
Cu1 0.000 0.000 0.000 1
Sb1 0.000 0.000 0.500 1
Cl1 0.000 0.000 0.243 1
```

---

# 6
Theoretical XRD peak list of PuTeSO7 for Cu Kα, from the PBE geometry in the Materials Project.

Peak list (10 most intense, 2θ = 10–80°, by intensity)
28.2°, d = 3.162 Å, intensity 1000; 12.3°, d = 7.212 Å, intensity 833; 24.8°, d = 3.584 Å, intensity 682; 25.9°, d = 3.436 Å, intensity 602; 31.0°, d = 2.884 Å, intensity 485; 32.9°, d = 2.720 Å, intensity 293; 47.2°, d = 1.926 Å, intensity 286; 18.1°, d = 4.908 Å, intensity 279; 38.0°, d = 2.370 Å, intensity 256; 46.5°, d = 1.953 Å, intensity 228

```
data_PuTeSO7
_space_group_name_H-M_alt 'P 1 21/c 1'
_space_group_IT_number 14
_space_group_name_Hall '-P 2ybc'
_cell_length_a 7.625
_cell_length_b 13.744
_cell_length_c 5.556
_cell_angle_alpha 90.00
_cell_angle_beta 108.94
_cell_angle_gamma 90.00
loop_
_atom_site_label
_atom_site_fract_x
_atom_site_fract_y
_atom_site_fract_z
_atom_site_occupancy
Pu1 0.085 0.132 0.414 1
Te1 0.238 0.627 0.772 1
S1 0.377 0.138 0.102 1
O1 0.071 0.721 0.831 1
O2 0.080 0.586 0.447 1
O3 0.129 0.541 0.956 1
O4 0.248 0.218 0.131 1
O5 0.312 0.098 0.842 1
O6 0.357 0.065 0.294 1
O7 0.431 0.673 0.328 1
```

---

# 7
Theoretical XRD peak list of SrInCu3Se4 for Cu Kα, from the PBE geometry in the Materials Project.

Peak list (10 most intense, 2θ = 10–80°, by intensity)
41.1°, d = 2.199 Å, intensity 1000; 24.8°, d = 3.590 Å, intensity 656; 74.8°, d = 1.269 Å, intensity 302; 48.6°, d = 1.875 Å, intensity 290; 20.2°, d = 4.397 Å, intensity 235; 14.2°, d = 6.219 Å, intensity 224; 59.5°, d = 1.555 Å, intensity 156; 35.4°, d = 2.539 Å, intensity 125; 65.4°, d = 1.427 Å, intensity 108; 55.3°, d = 1.662 Å, intensity 78

```
data_SrInCu3Se4
_space_group_name_H-M_alt 'P -4 3 m'
_space_group_IT_number 215
_space_group_name_Hall 'P -4 2 3'
_cell_length_a 6.219
_cell_length_b 6.219
_cell_length_c 6.219
_cell_angle_alpha 90.00
_cell_angle_beta 90.00
_cell_angle_gamma 90.00
loop_
_atom_site_label
_atom_site_fract_x
_atom_site_fract_y
_atom_site_fract_z
_atom_site_occupancy
Sr1 0.000 0.000 0.000 1
In1 0.500 0.500 0.500 1
Cu1 0.000 0.500 0.500 1
Se1 0.265 0.265 0.735 1
```

---

# 8
Theoretical XRD peak list of CaPdF4 for Cu Kα, from the PBE geometry in the Materials Project.

Peak list (10 most intense, 2θ = 10–80°, by intensity)
27.5°, d = 3.238 Å, intensity 1000; 28.3°, d = 3.155 Å, intensity 914; 22.7°, d = 3.920 Å, intensity 409; 32.4°, d = 2.762 Å, intensity 402; 16.1°, d = 5.518 Å, intensity 369; 46.3°, d = 1.960 Å, intensity 337; 46.5°, d = 1.953 Å, intensity 326; 54.2°, d = 1.691 Å, intensity 224; 32.2°, d = 2.778 Å, intensity 204; 54.8°, d = 1.674 Å, intensity 203

```
data_CaPdF4
_space_group_name_H-M_alt 'P 1 21/c 1'
_space_group_IT_number 14
_space_group_name_Hall '-P 2ybc'
_cell_length_a 5.522
_cell_length_b 5.531
_cell_length_c 5.559
_cell_angle_alpha 90.00
_cell_angle_beta 92.24
_cell_angle_gamma 90.00
loop_
_atom_site_label
_atom_site_fract_x
_atom_site_fract_y
_atom_site_fract_z
_atom_site_occupancy
Ca1 0.000 0.000 0.000 1
Pd1 0.500 0.000 0.500 1
F1 0.163 0.159 0.350 1
F2 0.333 0.676 0.316 1
```